For BaGe2As2, the PBE geometry in the Materials Project gives the theoretical powder XRD pattern in this record (CuKα).

Top 12 peaks for 2θ = 10–80°, sorted by position:
2θ 24.6, rel. 13.9
2θ 25.1, rel. 16.2
2θ 25.7, rel. 17.8
2θ 27.1, rel. 26.2
2θ 30.3, rel. 100.0
2θ 31.9, rel. 23.6
2θ 32.4, rel. 18.2
2θ 41.0, rel. 14.2
2θ 45.7, rel. 18.8
2θ 46.1, rel. 11.8
2θ 52.8, rel. 29.0
2θ 55.9, rel. 31.8

Atomic structure:
```
data_BaGe2As2
_cell_length_a 7.9354
_cell_length_b 7.9354
_cell_length_c 8.8139
_cell_angle_alpha 90.00
_cell_angle_beta 90.00
_cell_angle_gamma 90.00
_space_group_name_H-M_alt 'P 42 m c'
_space_group_IT_number 105
_space_group_name_Hall 'P 4c -2'
loop_
_atom_site_label
_atom_site_fract_x
_atom_site_fract_y
_atom_site_fract_z
_atom_site_occupancy
Ba1 0.0000 0.0000 0.0000 1
Ba2 0.0000 0.5000 0.0251 1
Ge1 0.1635 0.5000 0.6085 1
Ge2 0.3342 0.5000 0.3667 1
As1 0.2293 0.2450 0.7564 1
```